Structure and theoretical powder XRD pattern of RbSrCa2Cd (a cell relaxed with PBE; λ = 1.5418 Å (Cu Kα)).
Kinematic intensities with the Lorentz-polarization factor, no thermal factor.

Main lines, sorted by position (5 to 70 degrees two-theta):
two_theta, Rel. int.
14.17, 51
19.79, 45
20.09, 69
24.42, 45
27.69, 54
28.56, 100
34.45, 36
40.20, 77
40.83, 37
50.05, 40

Cell and atoms:
```
data_RbSrCa2Cd
_chemical_formula_sum 'Rb1 Sr1 Ca2 Cd1'
_symmetry_space_group_name_H-M 'P 1'
_symmetry_Int_Tables_number 1
_symmetry_space_group_name_Hall 'P 1'
_cell_length_a 6.2505
_cell_length_b 6.2505
_cell_length_c 6.4431
_cell_angle_alpha 90.00
_cell_angle_beta 90.00
_cell_angle_gamma 90.00
loop_
_atom_site_label
_atom_site_fract_x
_atom_site_fract_y
_atom_site_fract_z
_atom_site_occupancy
Rb1 0.0000 0.0000 0.0000 1
Sr1 0.5000 0.5000 0.0000 1
Ca1 0.0000 0.5000 0.5000 1
Ca2 0.5000 0.0000 0.5000 1
Cd1 0.5000 0.5000 0.5000 1
```

***

Structure and theoretical powder XRD pattern of CaCd11Rh (a cell relaxed with PBE; λ = 1.5418 Å (Cu Kα)).
Kinematic intensities with the Lorentz-polarization factor, no thermal factor.

Main lines, sorted by position (5 to 70 degrees two-theta):
two_theta, Rel. int.
17.53, 29
30.75, 26
35.32, 50
35.49, 74
35.94, 29
36.25, 69
36.50, 48
39.37, 45
40.38, 100
40.64, 34

Cell and atoms:
```
data_CaCd11Rh
_chemical_formula_sum 'Ca1 Cd11 Rh1'
_symmetry_space_group_name_H-M 'P 1'
_symmetry_Int_Tables_number 1
_symmetry_space_group_name_Hall 'P 1'
_cell_length_a 7.7922
_cell_length_b 7.7922
_cell_length_c 7.5702
_cell_angle_alpha 97.59
_cell_angle_beta 97.59
_cell_angle_gamma 137.39
loop_
_atom_site_label
_atom_site_fract_x
_atom_site_fract_y
_atom_site_fract_z
_atom_site_occupancy
Ca1 0.0000 0.0000 0.0000 1
Cd1 0.0000 0.5000 0.0000 1
Cd2 0.0028 0.6667 0.6383 1
Cd3 0.2763 0.4810 0.7867 1
Cd4 0.3333 0.9972 0.3617 1
Cd5 0.4810 0.2763 0.7867 1
Cd6 0.5000 0.0000 0.0000 1
Cd7 0.5000 0.5000 0.5000 1
Cd8 0.5190 0.7237 0.2133 1
Cd9 0.6667 0.0028 0.6383 1
Cd10 0.7237 0.5190 0.2133 1
Cd11 0.9972 0.3333 0.3617 1
Rh1 0.0000 0.0000 0.5000 1
```

***

Structure and theoretical powder XRD pattern of CaCd8Rh4 (a cell relaxed with PBE; λ = 1.5418 Å (Cu Kα)).
Kinematic intensities with the Lorentz-polarization factor, no thermal factor.

Main lines, sorted by position (5 to 70 degrees two-theta):
two_theta, Rel. int.
18.95, 23
32.41, 21
35.86, 38
37.82, 41
38.45, 53
40.86, 100
42.63, 18
43.20, 27
67.87, 17
69.13, 18

Cell and atoms:
```
data_CaCd8Rh4
_chemical_formula_sum 'Ca1 Cd8 Rh4'
_symmetry_space_group_name_H-M 'P 1'
_symmetry_Int_Tables_number 1
_symmetry_space_group_name_Hall 'P 1'
_cell_length_a 7.2550
_cell_length_b 7.2550
_cell_length_c 7.2550
_cell_angle_alpha 99.61
_cell_angle_beta 99.61
_cell_angle_gamma 131.77
loop_
_atom_site_label
_atom_site_fract_x
_atom_site_fract_y
_atom_site_fract_z
_atom_site_occupancy
Ca1 0.0000 0.0000 0.0000 1
Cd1 0.0000 0.3246 0.3246 1
Cd2 0.0000 0.6754 0.6754 1
Cd3 0.2735 0.5000 0.7735 1
Cd4 0.3246 0.0000 0.3246 1
Cd5 0.5000 0.2735 0.7735 1
Cd6 0.5000 0.7265 0.2265 1
Cd7 0.6754 0.0000 0.6754 1
Cd8 0.7265 0.5000 0.2265 1
Rh1 0.0000 0.0000 0.5000 1
Rh2 0.0000 0.5000 0.0000 1
Rh3 0.5000 0.0000 0.0000 1
Rh4 0.5000 0.5000 0.5000 1
```

***

Structure and theoretical powder XRD pattern of Ca8CdRh2 (a cell relaxed with PBE; λ = 1.5418 Å (Cu Kα)).
Kinematic intensities with the Lorentz-polarization factor, no thermal factor.

Main lines, sorted by position (5 to 70 degrees two-theta):
two_theta, Rel. int.
17.94, 62
20.15, 84
20.67, 85
22.39, 61
31.19, 99
31.67, 100
31.86, 89
33.68, 96
36.66, 98
37.71, 65

Cell and atoms:
```
data_Ca8CdRh2
_chemical_formula_sum 'Ca8 Cd1 Rh2'
_symmetry_space_group_name_H-M 'P 1'
_symmetry_Int_Tables_number 1
_symmetry_space_group_name_Hall 'P 1'
_cell_length_a 8.0632
_cell_length_b 8.0632
_cell_length_c 5.7718
_cell_angle_alpha 97.43
_cell_angle_beta 97.43
_cell_angle_gamma 111.67
loop_
_atom_site_label
_atom_site_fract_x
_atom_site_fract_y
_atom_site_fract_z
_atom_site_occupancy
Ca1 0.0000 0.0000 0.0000 1
Ca2 0.0526 0.3227 0.6264 1
Ca3 0.1364 0.6308 0.2086 1
Ca4 0.3227 0.0526 0.6264 1
Ca5 0.4448 0.7147 0.7908 1
Ca6 0.6308 0.1364 0.2086 1
Ca7 0.7147 0.4448 0.7908 1
Ca8 0.7684 0.7684 0.4183 1
Cd1 0.3842 0.3842 0.2173 1
Rh1 0.0680 0.6997 0.7090 1
Rh2 0.6997 0.0680 0.7090 1
```